Structure and simulated PXRD pattern of Fe3B (a DFT-relaxed cell (GGA-PBE, the Materials Project); Cu Kα (weighted mean of Kα1 and Kα2)).
Lines closer than 0.1° are merged.

Largest 8 diffraction maxima, low angle first, 2θ = 5–70°:
- 2θ = 31.42°, 2.847 Å, I = 19
- 2θ = 37.93°, 2.372 Å, I = 34
- 2θ = 43.60°, 2.076 Å, I = 100
- 2θ = 44.81°, 2.023 Å, I = 23
- 2θ = 45.26°, 2.004 Å, I = 50
- 2θ = 47.38°, 1.919 Å, I = 28
- 2θ = 48.73°, 1.869 Å, I = 79
- 2θ = 54.91°, 1.672 Å, I = 19

Lattice parameters (Å, degrees): 6.429 6.429 6.429 96.26 96.26 141.44
Fractional positions:
Fe1 0.069 0.026 0.607
Fe2 0.123 0.456 0.609
Fe3 0.141 0.332 0.976
Fe4 0.356 0.165 0.024
Fe5 0.418 0.462 0.393
Fe6 0.487 0.877 0.333
Fe7 0.538 0.931 0.957
Fe8 0.544 0.154 0.667
Fe9 0.668 0.644 0.809
Fe10 0.835 0.859 0.191
Fe11 0.846 0.513 0.391
Fe12 0.974 0.582 0.043
B1 0.057 0.720 0.750
B2 0.280 0.030 0.337
B3 0.692 0.943 0.663
B4 0.970 0.308 0.250

---

Structure and simulated PXRD pattern of Mg5Si9 (a DFT-relaxed cell (GGA-PBE, the Materials Project); Cu Kα (weighted mean of Kα1 and Kα2)).
Lines closer than 0.1° are merged.

Largest 8 diffraction maxima, low angle first, 2θ = 5–70°:
- 2θ = 30.50°, 2.931 Å, I = 62
- 2θ = 32.98°, 2.716 Å, I = 51
- 2θ = 34.57°, 2.595 Å, I = 79
- 2θ = 35.53°, 2.527 Å, I = 70
- 2θ = 36.05°, 2.491 Å, I = 100
- 2θ = 38.03°, 2.366 Å, I = 53
- 2θ = 39.69°, 2.271 Å, I = 84
- 2θ = 40.20°, 2.243 Å, I = 67

Lattice parameters (Å, degrees): 6.748 7.184 12.348 87.71 79.87 65.05
Fractional positions:
Mg1 0.000 0.000 0.000
Mg2 0.011 0.129 0.603
Mg3 0.049 0.424 0.408
Mg4 0.147 0.402 0.013
Mg5 0.175 0.691 0.214
Mg6 0.311 0.963 0.361
Mg7 0.364 0.917 0.772
Mg8 0.495 0.489 0.407
Mg9 0.772 0.065 0.312
Mg10 0.989 0.710 0.823
Si1 0.034 0.309 0.828
Si2 0.068 0.781 0.471
Si3 0.145 0.111 0.174
Si4 0.265 0.695 0.626
Si5 0.274 0.360 0.674
Si6 0.391 0.634 0.936
Si7 0.395 0.276 0.211
Si8 0.417 0.168 0.501
Si9 0.464 0.878 0.036
Si10 0.580 0.336 0.037
Si11 0.617 0.162 0.732
Si12 0.632 0.055 0.915
Si13 0.666 0.581 0.598
Si14 0.678 0.462 0.780
Si15 0.705 0.899 0.580
Si16 0.734 0.703 0.316
Si17 0.772 0.409 0.179
Si18 0.791 0.739 0.123

---

Structure and simulated PXRD pattern of LiSiBiO4 (a DFT-relaxed cell (GGA-PBE, the Materials Project); Cu Kα (weighted mean of Kα1 and Kα2)).
Lines closer than 0.1° are merged.

Largest 8 diffraction maxima, low angle first, 2θ = 5–70°:
- 2θ = 19.56°, 4.538 Å, I = 100
- 2θ = 20.32°, 4.371 Å, I = 75
- 2θ = 20.65°, 4.302 Å, I = 60
- 2θ = 21.06°, 4.218 Å, I = 53
- 2θ = 23.69°, 3.755 Å, I = 88
- 2θ = 26.15°, 3.408 Å, I = 53
- 2θ = 39.43°, 2.285 Å, I = 35
- 2θ = 42.90°, 2.108 Å, I = 34

Lattice parameters (Å, degrees): 8.852 5.374 8.934 90.00 107.65 90.00
Fractional positions:
Li1 0.000 0.169 0.000
Li2 0.000 0.831 0.500
Li3 0.512 0.326 0.342
Li4 0.512 0.674 0.842
Si1 0.125 0.292 0.370
Si2 0.125 0.708 0.870
Si3 0.619 0.184 0.723
Si4 0.619 0.816 0.223
Bi1 0.371 0.178 0.961
Bi2 0.371 0.822 0.461
Bi3 0.904 0.342 0.645
Bi4 0.904 0.658 0.145
O1 0.094 0.147 0.518
O2 0.094 0.853 0.018
O3 0.122 0.397 0.890
O4 0.122 0.603 0.390
O5 0.298 0.195 0.353
O6 0.298 0.805 0.853
O7 0.485 0.323 0.790
O8 0.485 0.677 0.290
O9 0.566 0.110 0.193
O10 0.566 0.890 0.693
O11 0.629 0.309 0.557
O12 0.629 0.691 0.057
O13 0.802 0.232 0.840
O14 0.802 0.768 0.340
O15 0.980 0.258 0.202
O16 0.980 0.742 0.702

---

Structure and simulated PXRD pattern of Ti3N2O3 (a DFT-relaxed cell (GGA-PBE, the Materials Project); Cu Kα (weighted mean of Kα1 and Kα2)).
Lines closer than 0.1° are merged.

Largest 8 diffraction maxima, low angle first, 2θ = 5–70°:
- 2θ = 18.17°, 4.882 Å, I = 55
- 2θ = 24.81°, 3.588 Å, I = 100
- 2θ = 32.59°, 2.748 Å, I = 32
- 2θ = 32.87°, 2.724 Å, I = 33
- 2θ = 36.10°, 2.488 Å, I = 23
- 2θ = 37.05°, 2.426 Å, I = 15
- 2θ = 41.04°, 2.199 Å, I = 18
- 2θ = 47.11°, 1.929 Å, I = 38

Lattice parameters (Å, degrees): 5.250 5.250 9.910 90.48 90.48 43.11
Fractional positions:
Ti1 0.000 0.000 0.000
Ti2 0.000 0.000 0.376
Ti3 0.054 0.054 0.684
Ti4 0.652 0.652 0.192
Ti5 0.711 0.711 0.490
Ti6 0.720 0.720 0.875
N1 0.089 0.089 0.180
N2 0.159 0.159 0.862
N3 0.163 0.163 0.513
N4 0.545 0.545 0.362
O1 0.539 0.539 0.005
O2 0.608 0.608 0.685
O3 0.806 0.806 0.050
O4 0.806 0.806 0.316
O5 0.896 0.896 0.812
O6 0.900 0.900 0.553